[1]
Simulated powder diffraction line list of CrB4 for Cu Ka, from DFT lattice parameters and positions (PBE).

Structure:
```
data_CrB4
_chemical_formula_sum 'Cr2 B8'
_cell_length_a 4.717
_cell_length_b 5.472
_cell_length_c 2.852
_cell_angle_alpha 90.00
_cell_angle_beta 90.00
_cell_angle_gamma 90.00
_symmetry_space_group_name_H-M 'P 1'
_symmetry_Int_Tables_number 1
loop_
_symmetry_equiv_pos_as_xyz
'x,y,z'
loop_
_atom_site_label
_atom_site_type_symbol
_atom_site_fract_x
_atom_site_fract_y
_atom_site_fract_z
Cr1 Cr 0.000 0.000 0.000
Cr2 Cr 0.500 0.500 0.500
B1 B 0.164 0.367 0.000
B2 B 0.224 0.679 0.000
B3 B 0.276 0.179 0.500
B4 B 0.336 0.867 0.500
B5 B 0.664 0.133 0.500
B6 B 0.724 0.821 0.500
B7 B 0.776 0.321 0.000
B8 B 0.836 0.633 0.000
```

Largest 10 diffraction maxima, by intensity, 2θ = 10–90°:
- 2θ = 24.92°, intensity 100
- 2θ = 36.83°, intensity 66
- 2θ = 53.10°, intensity 41
- 2θ = 50.09°, intensity 32
- 2θ = 35.50°, intensity 23
- 2θ = 51.14°, intensity 22
- 2θ = 60.23°, intensity 20
- 2θ = 32.73°, intensity 20
- 2θ = 53.89°, intensity 18
- 2θ = 61.35°, intensity 13

[2]
Simulated powder diffraction line list of Cr4B for Cu Ka, from DFT lattice parameters and positions (PBE).

Structure:
```
data_Cr4B
_chemical_formula_sum 'Cr8 B2'
_cell_length_a 7.990
_cell_length_b 7.388
_cell_length_c 4.218
_cell_angle_alpha 82.14
_cell_angle_beta 66.34
_cell_angle_gamma 31.53
_symmetry_space_group_name_H-M 'P 1'
_symmetry_Int_Tables_number 1
loop_
_symmetry_equiv_pos_as_xyz
'x,y,z'
loop_
_atom_site_label
_atom_site_type_symbol
_atom_site_fract_x
_atom_site_fract_y
_atom_site_fract_z
Cr1 Cr 0.085 0.085 0.915
Cr2 Cr 0.164 0.164 0.336
Cr3 Cr 0.330 0.670 0.330
Cr4 Cr 0.336 0.336 0.164
Cr5 Cr 0.594 0.906 0.594
Cr6 Cr 0.670 0.330 0.670
Cr7 Cr 0.906 0.594 0.906
Cr8 Cr 0.915 0.915 0.085
B1 B 0.375 0.375 0.625
B2 B 0.625 0.625 0.375
```

Largest 10 diffraction maxima, by intensity, 2θ = 10–90°:
- 2θ = 43.39°, intensity 100
- 2θ = 40.48°, intensity 72
- 2θ = 45.77°, intensity 57
- 2θ = 45.61°, intensity 56
- 2θ = 51.76°, intensity 34
- 2θ = 57.40°, intensity 28
- 2θ = 47.20°, intensity 24
- 2θ = 31.22°, intensity 21
- 2θ = 80.97°, intensity 20
- 2θ = 56.36°, intensity 18

[3]
Simulated powder diffraction line list of CrB4 for Cu Ka, from DFT lattice parameters and positions (PBE).

Structure:
```
data_CrB4
_chemical_formula_sum 'Cr2 B8'
_cell_length_a 2.849
_cell_length_b 4.747
_cell_length_c 5.487
_cell_angle_alpha 90.00
_cell_angle_beta 90.00
_cell_angle_gamma 90.00
_symmetry_space_group_name_H-M 'P 1'
_symmetry_Int_Tables_number 1
loop_
_symmetry_equiv_pos_as_xyz
'x,y,z'
loop_
_atom_site_label
_atom_site_type_symbol
_atom_site_fract_x
_atom_site_fract_y
_atom_site_fract_z
Cr1 Cr 0.000 0.000 0.000
Cr2 Cr 0.500 0.500 0.500
B1 B 0.000 0.195 0.342
B2 B 0.000 0.195 0.658
B3 B 0.000 0.805 0.342
B4 B 0.000 0.805 0.658
B5 B 0.500 0.305 0.158
B6 B 0.500 0.305 0.842
B7 B 0.500 0.695 0.158
B8 B 0.500 0.695 0.842
```

Largest 10 diffraction maxima, by intensity, 2θ = 10–90°:
- 2θ = 24.80°, intensity 100
- 2θ = 36.79°, intensity 63
- 2θ = 52.91°, intensity 42
- 2θ = 49.99°, intensity 29
- 2θ = 35.50°, intensity 22
- 2θ = 50.87°, intensity 21
- 2θ = 60.11°, intensity 21
- 2θ = 53.70°, intensity 18
- 2θ = 32.64°, intensity 18
- 2θ = 60.94°, intensity 13